Calculated X-ray powder pattern
Compound: CaSmZn2
Radiation: CuKα
Structure: a DFT-relaxed cell (PBE, the Materials Project)
Intensities are scaled so that the largest is 100.

abc: 5.175 5.175 5.175
angles: 60.00 60.00 60.00
Fractional coordinates of all 4 atoms:
Ca 0.000 0.000 0.000
Sm 0.500 0.500 0.500
Zn 0.250 0.250 0.250
Zn 0.750 0.750 0.750

Main lines, most intense first (15° ≤ 2θ ≤ 90°):
2θ/deg, d (Å), Rel. int.
34.67, 2.587, 100
62.14, 1.494, 35
21.03, 4.225, 23
49.84, 1.830, 17
83.56, 1.157, 15
40.90, 2.207, 13
73.15, 1.294, 11
54.67, 1.679, 6
66.37, 1.408, 4
77.10, 1.237, 4